Structure and theoretical XRD peak list of BaNaMg6 (a crystal structure in the Materials Project, relaxed with GGA-PBE; Cu Kα (λ = 1.5418 Å)).

Crystal structure
a = 5.3862 Å, b = 7.2504 Å, c = 7.2504 Å
α = 54.87°, β = 90.00°, γ = 90.00°
Element x y z (fractional)
Ba1 0.0000 0.0000 0.0000
Na1 0.0000 0.4910 0.4910
Mg1 0.0000 0.0001 0.4934
Mg2 0.0000 0.4934 0.0001
Mg3 0.5000 0.1420 0.6256
Mg4 0.5000 0.1715 0.1715
Mg5 0.5000 0.6256 0.1420
Mg6 0.5000 0.6547 0.6547

Main lines, low angle first (5° ≤ 2θ ≤ 70°):
14.94°, rel. 61; 22.30°, rel. 57; 30.14°, rel. 44; 32.41°, rel. 75; 33.27°, rel. 40; 34.53°, rel. 100